(1)
Starting from DFT lattice parameters and positions (GGA-PBE), the XRD peak list of Tb2Pr5Tm5 was simulated for Cu Kα (weighted mean of Kα1 and Kα2).
No peak broadening, texture or thermal motion is included.

Peak list (10 most intense, 2θ = 10–90°, sorted by position)
(3 1 1), 30.46°, intensity 100
(0 0 4), 35.26°, intensity 34
(0 2 0), 35.45°, intensity 17
(6 0 2), 50.72°, intensity 12
(0 2 4), 50.86°, intensity 24
(3 1 5), 60.32°, intensity 29
(3 3 1), 60.58°, intensity 14
(6 2 2), 63.40°, intensity 12
(3 3 5), 82.87°, intensity 9
(0 2 8), 85.35°, intensity 8

Structure:
abc: 15.2783 5.0645 11.3905
angles: 90.00 116.66 90.00
Space group C2/m (No. 12)
Symmetry-distinct sites (fractional):
Tb 0.1663 0.0000 0.4989 (multiplicity 4)
Pr 0.0000 0.0000 0.0000 (multiplicity 2)
Pr 0.0814 0.0000 0.7492 (multiplicity 4)
Pr 0.2487 0.0000 0.2498 (multiplicity 4)
Tm 0.0000 0.5000 0.5000 (multiplicity 2)
Tm 0.0842 0.5000 0.2523 (multiplicity 4)
Tm 0.1673 0.5000 0.0001 (multiplicity 4)

---

(2)
Starting from DFT lattice parameters and positions (GGA-PBE), the XRD peak list of Tb2PrTm12 was simulated for Cu Kα (weighted mean of Kα1 and Kα2).
No peak broadening, texture or thermal motion is included.

Peak list (10 most intense, 2θ = 10–90°, sorted by position)
(2 0 2), 29.07°, intensity 68
(2 0 3), 30.19°, intensity 59
(2 0 4), 31.73°, intensity 79
(1 1 7), 32.19°, intensity 100
(0 0 9), 32.47°, intensity 48
(2 1 3), 33.41°, intensity 78
(2 1 6), 38.50°, intensity 57
(2 2 0), 40.23°, intensity 47
(3 1 9), 56.78°, intensity 48
(3 3 7), 68.07°, intensity 37

Structure:
abc: 6.3402 6.3402 24.8120
angles: 90.00 90.00 90.00
Space group P4/nbm (No. 125, origin choice 2)
Symmetry-distinct sites (fractional):
Tb 0.2500 0.7500 0.2234 (multiplicity 4)
Pr 0.2500 0.7500 0.5000 (multiplicity 2)
Tm 0.0671 0.5671 0.3803 (multiplicity 8)
Tm 0.0809 0.5809 0.0600 (multiplicity 8)
Tm 0.2500 0.2500 0.1580 (multiplicity 4)
Tm 0.2500 0.2500 0.2827 (multiplicity 4)

---

(3)
Starting from DFT lattice parameters and positions (GGA-PBE), the XRD peak list of Tb4Pr7Tm was simulated for Cu Kα (weighted mean of Kα1 and Kα2).
No peak broadening, texture or thermal motion is included.

Peak list (10 most intense, 2θ = 10–90°, sorted by position)
(1 -2 0), 28.24°, intensity 36
(1 2 -1), 28.85°, intensity 15
(0 0 3), 30.39°, intensity 50
(2 0 -2), 31.18°, intensity 100
(2 0 1), 32.83°, intensity 87
(-1 2 3), 39.28°, intensity 15
(3 2 -1), 49.57°, intensity 26
(2 0 -5), 53.42°, intensity 22
(2 0 4), 56.62°, intensity 18
(3 2 2), 59.26°, intensity 30

Structure:
abc: 6.3752 7.3382 9.0763
angles: 90.06 103.56 90.04
Space group P-1 (No. 2)
Symmetry-distinct sites (fractional):
Tb 0.2203 0.9995 0.1651 (multiplicity 2)
Tb 0.2773 0.2485 0.8311 (multiplicity 2)
Pr 0.0000 0.0000 0.5000 (multiplicity 1)
Pr 0.2206 0.4998 0.1661 (multiplicity 2)
Pr 0.2804 0.7507 0.8337 (multiplicity 2)
Pr 0.4994 0.2485 0.5018 (multiplicity 2)
Tm 0.0000 0.5000 0.5000 (multiplicity 1)